The following is a calculated powder X-ray diffraction pattern of Li2Mn4N3. It was derived from the PBE geometry in Alexandria, using a wavelength of 1.5418 Å.
Lines closer than 0.1° are merged.

The 10 most intense peaks (10 to 90 degrees two-theta), most intense first:
2θ (°)	intensity
22.98	100
42.53	96
42.14	91
24.44	57
39.45	32
40.22	29
40.40	29
57.61	28
44.51	28
27.88	26

Cell: 7.322 4.568 5.292 Å, 90.00 95.70 90.00°
Positions (direct):
1 Li 0.240 0.205 0.034
2 Li 0.240 0.295 0.534
3 Li 0.760 0.705 0.466
4 Li 0.760 0.795 0.966
5 Mn 0.099 0.697 0.818
6 Mn 0.099 0.803 0.318
7 Mn 0.441 0.708 0.130
8 Mn 0.441 0.792 0.630
9 Mn 0.559 0.208 0.370
10 Mn 0.559 0.292 0.870
11 Mn 0.901 0.197 0.682
12 Mn 0.901 0.303 0.182
13 N 0.000 0.000 0.000
14 N 0.000 0.500 0.500
15 N 0.338 0.520 0.837
16 N 0.338 0.980 0.337
17 N 0.662 0.020 0.663
18 N 0.662 0.480 0.163